[1]
Diffraction record for Nd6TlIn. The powder diffractogram is computed, not measured: it uses DFT lattice parameters and positions (PBE) and Cu Kα.

Most intense lines, 10 to 90 degrees two-theta, low angle first:
- 19.92 deg, I 1, (1 0 1)
- 26.83 deg, I 1, (0 0 3)
- 31.08 deg, I 100, (1 1 2)
- 36.04 deg, I 50, (2 0 0)
- 51.89 deg, I 36, (2 2 0)
- 61.73 deg, I 42, (3 1 2)
- 64.80 deg, I 12, (2 2 4)
- 76.44 deg, I 6, (4 0 0)
- 84.79 deg, I 18, (3 3 2)
- 87.54 deg, I 16, (4 2 0)

Cell lengths 4.984, 4.984, 9.968 Å; angles 90.00, 90.00, 90.00 degrees
Space group P4/mmm (No. 123)
Symmetry-distinct sites (fractional):
Nd1 0.000 0.000 0.000
Nd2 0.000 0.000 0.500
Nd3 0.000 0.500 0.249
Tl1 0.500 0.500 0.500
In1 0.500 0.500 0.000

---

[2]
Diffraction record for InNi7. The powder diffractogram is computed, not measured: it uses DFT lattice parameters and positions (PBE) and Cu Kα.

Most intense lines, 10 to 90 degrees two-theta, low angle first:
- 43.36 deg, I 77, (0 1 11)
- 44.69 deg, I 100, (1 1 0)
- 44.80 deg, I 17, (1 1 1)
- 45.98 deg, I 37, (0 1 12)
- 49.82 deg, I 50, (1 0 11)
- 52.19 deg, I 25, (1 0 12)
- 54.16 deg, I 32, (0 2 0)
- 75.06 deg, I 13, (2 0 0)
- 76.65 deg, I 26, (1 2 11)
- 78.54 deg, I 14, (1 2 12)

Cell lengths 2.532, 3.388, 29.143 Å; angles 90.00, 90.00, 90.00 degrees
Space group Pmmn (No. 59, origin choice 2)
Symmetry-distinct sites (fractional):
In1 0.250 0.250 0.161
Ni1 0.250 0.250 0.263
Ni2 0.250 0.250 0.349
Ni3 0.250 0.250 0.435
Ni4 0.250 0.250 0.521
Ni5 0.250 0.250 0.608
Ni6 0.250 0.250 0.694
Ni7 0.250 0.250 0.780

---

[3]
Diffraction record for In2Ni7. The powder diffractogram is computed, not measured: it uses DFT lattice parameters and positions (PBE) and Cu Kα.

Most intense lines, 10 to 90 degrees two-theta, low angle first:
- 10.74 deg, I 34, (0 0 3)
- 21.58 deg, I 12, (0 0 6)
- 38.86 deg, I 16, (1 0 2)
- 40.95 deg, I 100, (1 0 4)
- 42.46 deg, I 32, (1 0 5)
- 47.86 deg, I 14, (0 0 13)
- 48.56 deg, I 42, (0 1 8)
- 51.04 deg, I 27, (0 1 9)
- 68.94 deg, I 21, (1 1 0)
- 88.26 deg, I 13, (1 1 13)

Cell lengths 2.7243, 2.7243, 24.7068 Å; angles 90.00, 90.00, 120.00 degrees
Space group P-3m1 (No. 164)
Symmetry-distinct sites (fractional):
In1 0.3333 0.6667 0.1778
Ni1 0.0000 0.0000 0.2704
Ni2 0.0000 0.0000 0.5000
Ni3 0.3333 0.6667 0.4230
Ni4 0.3333 0.6667 0.6533

---

[4]
Diffraction record for In9Ni13. The powder diffractogram is computed, not measured: it uses DFT lattice parameters and positions (PBE) and Cu Kα.

Most intense lines, 10 to 90 degrees two-theta, low angle first:
- 29.79 deg, I 30, (2 2 -2)
- 37.91 deg, I 16, (1 3 -2)
- 42.23 deg, I 49, (4 0 -4)
- 42.39 deg, I 100, (4 2 -1)
- 42.52 deg, I 96, (0 2 3)
- 43.02 deg, I 46, (0 4 0)
- 61.87 deg, I 22, (4 4 -4)
- 77.49 deg, I 17, (0 0 6)
- 78.46 deg, I 20, (0 6 3)
- 87.31 deg, I 20, (8 2 -1)

Cell lengths 10.499, 8.410, 9.063 Å; angles 90.00, 125.34, 90.00 degrees
Space group C2/m (No. 12)
Symmetry-distinct sites (fractional):
In1 0.000 0.000 0.000
In2 0.040 0.290 0.809
In3 0.174 0.500 0.616
In4 0.211 0.000 0.667
Ni1 0.000 0.235 0.500
Ni2 0.000 0.500 0.000
Ni3 0.047 0.000 0.324
Ni4 0.196 0.241 0.159
Ni5 0.240 0.000 0.981
Ni6 0.250 0.250 0.500

---

[5]
Diffraction record for PrIn5NiPd. The powder diffractogram is computed, not measured: it uses DFT lattice parameters and positions (PBE) and Cu Kα.

Most intense lines, 10 to 90 degrees two-theta, low angle first:
- 28.11 deg, I 13, (0 2 2)
- 31.75 deg, I 99, (1 2 1)
- 32.88 deg, I 100, (1 0 3)
- 39.90 deg, I 34, (1 3 0)
- 41.10 deg, I 54, (0 2 4)
- 41.75 deg, I 15, (1 1 4)
- 41.87 deg, I 42, (2 0 0)
- 43.58 deg, I 21, (1 3 2)
- 60.11 deg, I 34, (2 2 4)
- 70.34 deg, I 14, (1 2 7)

Cell lengths 4.315, 7.957, 10.537 Å; angles 90.00, 90.00, 90.00 degrees
Space group Imm2 (No. 44)
Symmetry-distinct sites (fractional):
Pr1 0.000 0.000 0.000
In1 0.000 0.191 0.660
In2 0.000 0.203 0.355
In3 0.000 0.500 0.011
Ni1 0.000 0.500 0.254
Pd1 0.000 0.500 0.758

---

[6]
Diffraction record for Y3In3Ni2Pd. The powder diffractogram is computed, not measured: it uses DFT lattice parameters and positions (PBE) and Cu Kα.

Most intense lines, 10 to 90 degrees two-theta, low angle first:
- 13.59 deg, I 12, (1 0 0)
- 33.31 deg, I 100, (1 1 1)
- 36.13 deg, I 86, (2 0 1)
- 36.48 deg, I 46, (2 1 0)
- 41.58 deg, I 41, (3 0 0)
- 43.64 deg, I 31, (2 1 1)
- 47.26 deg, I 24, (0 0 2)
- 61.14 deg, I 19, (2 1 2)
- 64.74 deg, I 21, (3 0 2)
- 67.18 deg, I 34, (3 2 1)

Cell lengths 7.5242, 7.5242, 3.8467 Å; angles 90.00, 90.00, 120.00 degrees
Space group P-62m (No. 189)
Symmetry-distinct sites (fractional):
Y1 0.0000 0.5903 0.0000
In1 0.0000 0.2663 0.5000
Ni1 0.3333 0.6667 0.5000
Pd1 0.0000 0.0000 0.0000